No. 1
Computed PXRD pattern
Compound: KVBr2Cl
Radiation: Cu Kα (weighted mean of Kα1 and Kα2)
Structure: a PBE-relaxed structure
Lines closer than 0.1° are merged.

Crystal structure
```
KVBr2Cl
1.0
-3.6794 3.6794 5.0700
3.6794 -3.6794 5.0700
3.6794 3.6794 -5.0700
K V Br Cl
2 2 4 2
Direct
0.2500 0.7500 0.5000
0.7500 0.2500 0.5000
0.0000 0.0000 0.0000
0.5000 0.5000 0.0000
0.1988 0.6988 0.8976
0.3012 0.1988 0.5000
0.6988 0.8012 0.5000
0.8012 0.3012 0.1024
0.2500 0.2500 0.0000
0.7500 0.7500 0.0000
```

Principal peaks in the range 2θ from 10° to 90°, by angle:
2θ 17.5, d 5.070, I = 69.5; 2θ 28.5, d 3.130, I = 79.6; 2θ 30.0, d 2.978, I = 100.0; 2θ 34.5, d 2.602, I = 73.4; 2θ 35.4, d 2.535, I = 53.5; 2θ 38.2, d 2.358, I = 35.7; 2θ 42.8, d 2.115, I = 28.0; 2θ 50.3, d 1.816, I = 46.4; 2θ 52.0, d 1.758, I = 36.6; 2θ 58.5, d 1.578, I = 25.6

No. 2
Computed PXRD pattern
Compound: Pm6Pr2Ho3Sc
Radiation: Cu Kα (weighted mean of Kα1 and Kα2)
Structure: a PBE-relaxed structure
Lines closer than 0.1° are merged.

Crystal structure
```
Pm6Pr2Ho3Sc
1.0
3.1184 -5.4014 0.0000
3.1184 5.4014 0.0000
-2.0840 0.0000 11.7192
Pm Pr Ho Sc
6 2 3 1
Direct
0.0833 0.4123 0.7518
0.2462 0.2462 0.2477
0.4123 0.0833 0.7518
0.5877 0.9167 0.2482
0.7538 0.7538 0.7523
0.9167 0.5877 0.2482
0.3334 0.6666 0.5000
0.6666 0.3334 0.5000
0.1662 0.8338 0.0000
0.5000 0.5000 0.0000
0.8338 0.1662 0.0000
0.0000 0.0000 0.5000
```

Principal peaks in the range 2θ from 10° to 90°, by angle:
2θ 30.4, d 2.939, I = 100.0; 2θ 30.5, d 2.930, I = 33.0; 2θ 35.3, d 2.543, I = 67.2; 2θ 50.7, d 1.800, I = 24.0; 2θ 50.8, d 1.796, I = 23.8; 2θ 60.3, d 1.534, I = 42.5; 2θ 60.5, d 1.531, I = 14.1; 2θ 63.3, d 1.469, I = 12.3; 2θ 82.6, d 1.168, I = 11.7; 2θ 85.2, d 1.138, I = 10.9

No. 3
Computed PXRD pattern
Compound: SiMo
Radiation: Cu Kα (weighted mean of Kα1 and Kα2)
Structure: a PBE-relaxed structure
Lines closer than 0.1° are merged.

Crystal structure
```
SiMo
1.0
4.8786 0.0000 0.0000
0.0000 4.8786 0.0000
0.0000 0.0000 4.8786
Si Mo
4 4
Direct
0.0979 0.0979 0.0979
0.4021 0.9021 0.5979
0.5979 0.4021 0.9021
0.9021 0.5979 0.4021
0.1129 0.6129 0.8871
0.3871 0.3871 0.3871
0.6129 0.8871 0.1129
0.8871 0.1129 0.6129
```

Principal peaks in the range 2θ from 10° to 90°, by angle:
2θ 25.8, d 3.450, I = 38.1; 2θ 31.8, d 2.817, I = 22.3; 2θ 41.4, d 2.182, I = 100.0; 2θ 45.5, d 1.992, I = 48.4; 2θ 60.0, d 1.543, I = 7.1; 2θ 63.2, d 1.471, I = 12.5; 2θ 69.5, d 1.353, I = 12.0; 2θ 72.5, d 1.304, I = 27.2; 2θ 78.4, d 1.220, I = 8.8; 2θ 87.1, d 1.119, I = 8.6

No. 4
Computed PXRD pattern
Compound: Y3CdSe
Radiation: Cu Kα (weighted mean of Kα1 and Kα2)
Structure: a PBE-relaxed structure
Lines closer than 0.1° are merged.

Crystal structure
```
Y3CdSe
1.0
7.3268 0.0000 0.0000
0.0000 3.9920 0.0000
-1.9086 0.0000 9.2364
Y Cd Se
6 2 2
Direct
0.0254 0.2500 0.1766
0.3244 0.7500 0.4185
0.4507 0.7500 0.8176
0.5493 0.2500 0.1824
0.6756 0.2500 0.5815
0.9746 0.7500 0.8234
0.1387 0.2500 0.6167
0.8613 0.7500 0.3833
0.2662 0.7500 0.0810
0.7338 0.2500 0.9190
```

Principal peaks in the range 2θ from 10° to 90°, by angle:
2θ 29.6, d 3.020, I = 53.5; 2θ 33.6, d 2.671, I = 100.0; 2θ 34.3, d 2.612, I = 34.9; 2θ 34.6, d 2.591, I = 39.0; 2θ 36.9, d 2.438, I = 40.8; 2θ 45.4, d 1.996, I = 29.6; 2θ 49.8, d 1.832, I = 15.5; 2θ 58.2, d 1.586, I = 14.7; 2θ 58.4, d 1.581, I = 17.4; 2θ 69.7, d 1.349, I = 15.3